No. 1
Structure and computed XRD peak list of Nd6Sm7Tm16 (DFT lattice parameters and positions (GGA-PBE); copper Kα).
Kinematic intensities with the Lorentz-polarization factor, no thermal factor.

Atomic structure:
Lattice parameters (Å, degrees): 15.799 15.799 15.799 90.00 90.00 90.00
Space group Fm-3m (No. 225)
Inequivalent atoms, fractional coordinates:
Nd 0.000 0.000 0.235 (multiplicity 24)
Sm 0.000 0.000 0.500 (multiplicity 4)
Sm 0.000 0.250 0.250 (multiplicity 24)
Tm 0.129 0.129 0.371 (multiplicity 32)
Tm 0.150 0.150 0.150 (multiplicity 32)

The 6 most intense peaks (2θ from 15° to 90°), low angle first:
index	two_theta	intensity
3 3 3	29.4	7
4 4 0	32.0	100
8 0 0	46.0	14
8 4 4	57.1	26
8 8 0	67.0	7
12 4 0	76.2	7

***

No. 2
Structure and computed XRD peak list of Nd5SmTm (DFT lattice parameters and positions (GGA-PBE); copper Kα).
Kinematic intensities with the Lorentz-polarization factor, no thermal factor.

Atomic structure:
Lattice parameters (Å, degrees): 6.304 6.308 7.154 100.33 100.15 112.25
Space group P-1 (No. 2)
Inequivalent atoms, fractional coordinates:
Nd 0.000 0.000 0.000 (multiplicity 1)
Nd 0.094 0.523 0.268 (multiplicity 2)
Nd 0.478 0.906 0.732 (multiplicity 2)
Sm 0.000 0.000 0.500 (multiplicity 1)
Tm 0.500 0.500 0.000 (multiplicity 1)

The 6 most intense peaks (2θ from 15° to 90°), low angle first:
index	two_theta	intensity
-2 1 1	29.9	33
1 1 -2	31.0	75
1 -1 2	31.4	100
2 0 0	31.8	74
2 -2 0	34.3	29
1 -3 2	46.9	21

***

No. 3
Structure and computed XRD peak list of Nd3Sm5Tm4 (DFT lattice parameters and positions (GGA-PBE); copper Kα).
Kinematic intensities with the Lorentz-polarization factor, no thermal factor.

Atomic structure:
Lattice parameters (Å, degrees): 16.166 5.961 9.297 90.00 116.22 90.00
Space group C2/m (No. 12)
Inequivalent atoms, fractional coordinates:
Nd 0.000 0.000 0.000 (multiplicity 2)
Nd 0.208 0.500 0.227 (multiplicity 4)
Sm 0.000 0.500 0.000 (multiplicity 2)
Sm 0.076 0.000 0.699 (multiplicity 4)
Sm 0.173 0.000 0.387 (multiplicity 4)
Tm 0.081 0.500 0.441 (multiplicity 4)
Tm 0.211 0.500 0.875 (multiplicity 4)

The 6 most intense peaks (2θ from 15° to 90°), low angle first:
index	two_theta	intensity
2 0 -3	28.9	45
3 1 1	29.2	40
0 2 0	30.0	100
5 1 -1	31.6	52
5 1 -2	32.5	73
1 1 -3	33.6	57

***

No. 4
Structure and computed XRD peak list of Nd2Sm2Tm (DFT lattice parameters and positions (GGA-PBE); copper Kα).
Kinematic intensities with the Lorentz-polarization factor, no thermal factor.

Atomic structure:
Lattice parameters (Å, degrees): 3.632 5.795 32.293 90.00 90.00 90.00
Space group Imma (No. 74)
Inequivalent atoms, fractional coordinates:
Nd 0.000 0.250 0.191 (multiplicity 4)
Nd 0.000 0.250 0.706 (multiplicity 4)
Sm 0.000 0.250 0.882 (multiplicity 4)
Sm 0.000 0.250 0.980 (multiplicity 4)
Tm 0.000 0.250 0.423 (multiplicity 4)

The 6 most intense peaks (2θ from 15° to 90°), low angle first:
index	two_theta	intensity
0 1 9	29.3	30
0 2 0	30.9	52
1 1 4	31.1	100
1 0 7	31.3	26
0 1 11	34.2	33
1 3 4	55.0	20

***

Please write out number 3 again, unchanged.
Structure and computed XRD peak list of Nd3Sm5Tm4 (DFT lattice parameters and positions (GGA-PBE); copper Kα).
Kinematic intensities with the Lorentz-polarization factor, no thermal factor.

Atomic structure:
Lattice parameters (Å, degrees): 16.166 5.961 9.297 90.00 116.22 90.00
Space group C2/m (No. 12)
Inequivalent atoms, fractional coordinates:
Nd 0.000 0.000 0.000 (multiplicity 2)
Nd 0.208 0.500 0.227 (multiplicity 4)
Sm 0.000 0.500 0.000 (multiplicity 2)
Sm 0.076 0.000 0.699 (multiplicity 4)
Sm 0.173 0.000 0.387 (multiplicity 4)
Tm 0.081 0.500 0.441 (multiplicity 4)
Tm 0.211 0.500 0.875 (multiplicity 4)

The 6 most intense peaks (2θ from 15° to 90°), low angle first:
index	two_theta	intensity
2 0 -3	28.9	45
3 1 1	29.2	40
0 2 0	30.0	100
5 1 -1	31.6	52
5 1 -2	32.5	73
1 1 -3	33.6	57